The following is a theoretical powder X-ray diffraction pattern of MnCrHO2. It was derived from a GGA+U-relaxed structure, using Cu Kα X-rays.
Neutral-atom scattering factors, no anomalous dispersion.

Crystal structure
a b c (Å): 7.3949 7.3949 7.3949
angles (deg): 24.38 24.38 24.38
Fractional coordinates of all 5 atoms:
Mn: 0.0000 0.0000 0.0000
Cr: 0.5452 0.5452 0.5452
H: 0.7626 0.7626 0.7626
O: 0.7157 0.7157 0.7157
O: 0.8399 0.8399 0.8399

Main lines, in order of falling intensity (2θ from 5° to 70°):
d [Å]	I_rel
3.586	100
2.416	98
2.623	91
2.030	90
7.172	51
1.561	48
1.585	38
2.683	35
2.290	35
1.432	29